# K2Pb
Simulated powder X-ray diffraction pattern, CuKα. Input: DFT lattice parameters and positions (GGA-PBE).
Kinematic intensities with the Lorentz-polarization factor, no thermal factor.

Structure:
```
K2Pb
1.0
4.0797 0.0000 0.0000
0.0000 4.0797 0.0000
0.0000 0.0000 34.8788
K Pb
8 4
Cartesian
0.0000 1.0199 10.7892 K
0.0000 1.0199 15.3699 K
0.0000 3.0597 19.5089 K
0.0000 3.0597 24.0896 K
2.0398 1.0199 2.0695 K
2.0398 1.0199 6.6502 K
2.0398 3.0597 28.2286 K
2.0398 3.0597 32.8093 K
0.0000 1.0199 30.5189 Pb
0.0000 3.0597 4.3598 Pb
2.0398 1.0199 21.7992 Pb
2.0398 3.0597 13.0795 Pb
```

Most intense lines, 2θ = 10–80°, by angle:
- (0 0 4), 2θ 10.14, intensity 100.0
- (1 0 1), 2θ 21.94, intensity 14.8
- (1 0 3), 2θ 23.10, intensity 26.1
- (1 0 5), 2θ 25.29, intensity 40.5
- (1 0 7), 2θ 28.27, intensity 42.0
- (1 1 2), 2θ 31.43, intensity 53.5
- (1 0 9), 2θ 31.85, intensity 28.6
- (1 1 6), 2θ 34.72, intensity 12.1
- (1 0 11), 2θ 35.87, intensity 13.4
- (2 0 0), 2θ 44.41, intensity 12.4
- (1 1 14), 2θ 48.27, intensity 18.0
- (2 1 7), 2θ 53.48, intensity 13.9